1.
For UHgI3, a cell relaxed with PBE gives the calculated powder diffraction line list in this record (Cu Kα).
Intensities are scaled so that the largest is 100.

The 12 most intense peaks (15° ≤ 2θ ≤ 90°), by angle:
| d (Å) | two_theta | Rel. int. |
| --- | --- | --- |
| 4.228 | 21.01 | 38 |
| 3.661 | 24.31 | 76 |
| 3.473 | 25.65 | 42 |
| 2.884 | 31.01 | 100 |
| 2.683 | 33.39 | 32 |
| 2.266 | 39.79 | 31 |
| 2.114 | 42.78 | 43 |
| 2.076 | 43.61 | 39 |
| 1.806 | 50.55 | 14 |
| 1.736 | 52.72 | 18 |
| 1.481 | 62.74 | 27 |
| 1.442 | 64.64 | 25 |

Structural model:
Cell: 8.4557 8.4557 3.9442 Å, 90.00 90.00 120.00°
Element x y z (fractional)
U1 0.0000 0.0000 0.0000
Hg1 0.3333 0.6667 0.0000
I1 0.3268 0.1753 0.5000
I2 0.8247 0.1515 0.5000
I3 0.8485 0.6732 0.5000

=====

2.
For ScCd2Au5, a cell relaxed with PBE gives the calculated powder diffraction line list in this record (Cu Kα).
Intensities are scaled so that the largest is 100.

The 12 most intense peaks (15° ≤ 2θ ≤ 90°), by angle:
| d (Å) | two_theta | Rel. int. |
| --- | --- | --- |
| 4.315 | 20.58 | 6 |
| 3.741 | 23.79 | 5 |
| 3.187 | 28.00 | 6 |
| 2.426 | 37.06 | 100 |
| 2.253 | 40.01 | 41 |
| 1.870 | 48.69 | 13 |
| 1.593 | 57.87 | 14 |
| 1.439 | 64.78 | 20 |
| 1.332 | 70.74 | 30 |
| 1.213 | 78.93 | 12 |
| 1.161 | 83.20 | 10 |
| 1.127 | 86.35 | 5 |

Structural model:
Cell: 4.5068 4.5068 14.9623 Å, 90.00 90.00 90.00°
Element x y z (fractional)
Sc1 0.0000 0.0000 0.0000
Sc2 0.5000 0.5000 0.5000
Cd1 0.0000 0.0000 0.2517
Cd2 0.0000 0.0000 0.7483
Cd3 0.5000 0.5000 0.2483
Cd4 0.5000 0.5000 0.7517
Au1 0.0000 0.0000 0.5000
Au2 0.0000 0.5000 0.1224
Au3 0.0000 0.5000 0.3776
Au4 0.0000 0.5000 0.6224
Au5 0.0000 0.5000 0.8776
Au6 0.5000 0.0000 0.1224
Au7 0.5000 0.0000 0.3776
Au8 0.5000 0.0000 0.6224
Au9 0.5000 0.0000 0.8776
Au10 0.5000 0.5000 0.0000

=====

3.
For PmGa3Au3, a cell relaxed with PBE gives the calculated powder diffraction line list in this record (Cu Kα).
Intensities are scaled so that the largest is 100.

The 12 most intense peaks (15° ≤ 2θ ≤ 90°), by angle:
| d (Å) | two_theta | Rel. int. |
| --- | --- | --- |
| 3.699 | 24.06 | 26 |
| 3.148 | 28.35 | 96 |
| 2.946 | 30.34 | 34 |
| 2.793 | 32.05 | 33 |
| 2.515 | 35.70 | 52 |
| 2.477 | 36.27 | 100 |
| 2.429 | 37.01 | 40 |
| 2.313 | 38.94 | 26 |
| 2.291 | 39.33 | 84 |
| 2.177 | 41.47 | 33 |
| 2.110 | 42.85 | 32 |
| 2.031 | 44.61 | 25 |

Structural model:
Cell: 7.4330 4.5812 9.0662 Å, 90.00 108.59 90.00°
Element x y z (fractional)
Pm1 0.1995 0.2500 0.2753
Pm2 0.8005 0.7500 0.7247
Ga1 0.1204 0.2500 0.9053
Ga2 0.2348 0.7500 0.7442
Ga3 0.4631 0.2500 0.7158
Ga4 0.5369 0.7500 0.2842
Ga5 0.7652 0.2500 0.2558
Ga6 0.8796 0.7500 0.0947
Au1 0.0260 0.2500 0.6022
Au2 0.2309 0.7500 0.0402
Au3 0.3897 0.7500 0.5293
Au4 0.6103 0.2500 0.4707
Au5 0.7691 0.2500 0.9598
Au6 0.9740 0.7500 0.3978

=====

4.
For NdAl11O18, a cell relaxed with PBE gives the calculated powder diffraction line list in this record (Cu Kα).
Intensities are scaled so that the largest is 100.

The 12 most intense peaks (15° ≤ 2θ ≤ 90°), by angle:
| d (Å) | two_theta | Rel. int. |
| --- | --- | --- |
| 4.835 | 18.35 | 100 |
| 4.761 | 18.64 | 46 |
| 4.145 | 21.44 | 67 |
| 3.351 | 26.60 | 43 |
| 2.968 | 30.11 | 46 |
| 2.896 | 30.88 | 23 |
| 2.763 | 32.40 | 27 |
| 2.613 | 34.31 | 32 |
| 2.581 | 34.76 | 24 |
| 2.376 | 37.86 | 28 |
| 2.269 | 39.72 | 58 |
| 1.750 | 52.28 | 56 |

Structural model:
Cell: 5.5725 5.5725 12.3442 Å, 109.24 109.24 62.61°
Element x y z (fractional)
Nd1 0.0000 0.0000 0.0000
Al1 0.0000 0.0000 0.5000
Al2 0.1286 0.6245 0.7089
Al3 0.2322 0.2322 0.8753
Al4 0.2851 0.2851 0.4982
Al5 0.3034 0.3034 0.1847
Al6 0.3755 0.8714 0.2911
Al7 0.6245 0.1286 0.7089
Al8 0.6966 0.6966 0.8153
Al9 0.7149 0.7149 0.5018
Al10 0.7678 0.7678 0.1247
Al11 0.8714 0.3755 0.2911
O1 0.0281 0.0281 0.7981
O2 0.0719 0.5658 0.8409
O3 0.1251 0.6733 0.5621
O4 0.2283 0.2283 0.6302
O5 0.2627 0.2627 0.3410
O6 0.2637 0.2637 0.0236
O7 0.3267 0.8749 0.4379
O8 0.4342 0.9281 0.1591
O9 0.4971 0.4971 0.2394
O10 0.5029 0.5029 0.7606
O11 0.5658 0.0719 0.8409
O12 0.6733 0.1251 0.5621
O13 0.7363 0.7363 0.9764
O14 0.7373 0.7373 0.6590
O15 0.7717 0.7717 0.3698
O16 0.8749 0.3267 0.4379
O17 0.9281 0.4342 0.1591
O18 0.9719 0.9719 0.2019

=====

5.
For SrSi3Pd9, a cell relaxed with PBE gives the calculated powder diffraction line list in this record (Cu Kα).
Intensities are scaled so that the largest is 100.

The 12 most intense peaks (15° ≤ 2θ ≤ 90°), by angle:
| d (Å) | two_theta | Rel. int. |
| --- | --- | --- |
| 3.024 | 29.53 | 27 |
| 2.598 | 34.52 | 41 |
| 2.506 | 35.84 | 30 |
| 2.347 | 38.34 | 100 |
| 2.304 | 39.10 | 26 |
| 2.254 | 39.99 | 32 |
| 2.239 | 40.28 | 63 |
| 2.175 | 41.52 | 30 |
| 2.086 | 43.38 | 45 |
| 2.082 | 43.47 | 37 |
| 2.002 | 45.30 | 25 |
| 1.330 | 70.87 | 25 |

Structural model:
Cell: 7.1533 7.1533 6.3627 Å, 96.50 96.50 137.16°
Element x y z (fractional)
Sr1 0.0000 0.0000 0.0000
Si1 0.0000 0.5000 0.0000
Si2 0.5000 0.0000 0.0000
Si3 0.5000 0.5000 0.5000
Pd1 0.0000 0.0000 0.5000
Pd2 0.0709 0.7008 0.6829
Pd3 0.2992 0.9291 0.3171
Pd4 0.3123 0.5355 0.7700
Pd5 0.4645 0.6877 0.2300
Pd6 0.5355 0.3123 0.7700
Pd7 0.6877 0.4645 0.2300
Pd8 0.7008 0.0709 0.6829
Pd9 0.9291 0.2992 0.3171

=====

6.
For Y3LuO, a cell relaxed with PBE gives the calculated powder diffraction line list in this record (Cu Kα).
Intensities are scaled so that the largest is 100.

The 12 most intense peaks (15° ≤ 2θ ≤ 90°), by angle:
| d (Å) | two_theta | Rel. int. |
| --- | --- | --- |
| 4.936 | 17.97 | 6 |
| 3.491 | 25.52 | 13 |
| 2.850 | 31.39 | 100 |
| 2.468 | 36.40 | 58 |
| 2.208 | 40.88 | 4 |
| 2.015 | 44.98 | 6 |
| 1.745 | 52.43 | 40 |
| 1.488 | 62.39 | 42 |
| 1.425 | 65.50 | 13 |
| 1.234 | 77.32 | 6 |
| 1.132 | 85.80 | 17 |
| 1.104 | 88.60 | 18 |

Structural model:
Cell: 4.9363 4.9363 4.9363 Å, 90.00 90.00 90.00°
Element x y z (fractional)
Y1 0.0000 0.0000 0.5000
Y2 0.0000 0.5000 0.0000
Y3 0.5000 0.0000 0.0000
Lu1 0.5000 0.5000 0.5000
O1 0.0000 0.0000 0.0000

=====

7.
For Tb2Nd4SmSc, a cell relaxed with PBE gives the calculated powder diffraction line list in this record (Cu Kα).
Intensities are scaled so that the largest is 100.

The 12 most intense peaks (15° ≤ 2θ ≤ 90°), by angle:
| d (Å) | two_theta | Rel. int. |
| --- | --- | --- |
| 2.932 | 30.49 | 100 |
| 2.558 | 35.08 | 17 |
| 2.547 | 35.24 | 17 |
| 2.513 | 35.73 | 16 |
| 1.805 | 50.58 | 12 |
| 1.793 | 50.94 | 12 |
| 1.789 | 51.06 | 12 |
| 1.539 | 60.11 | 14 |
| 1.534 | 60.32 | 14 |
| 1.520 | 60.97 | 14 |
| 1.466 | 63.46 | 12 |
| 1.170 | 82.43 | 6 |

Structural model:
Cell: 5.0934 5.1156 10.0512 Å, 90.00 90.00 90.00°
Element x y z (fractional)
Tb1 0.0000 0.0000 0.0000
Tb2 0.5000 0.5000 0.5000
Nd1 0.0000 0.5000 0.2436
Nd2 0.0000 0.5000 0.7564
Nd3 0.5000 0.0000 0.2436
Nd4 0.5000 0.0000 0.7564
Sm1 0.0000 0.0000 0.5000
Sc1 0.5000 0.5000 0.0000

=====

8.
For Pa2FeCN5, a cell relaxed with PBE gives the calculated powder diffraction line list in this record (Cu Kα).
Intensities are scaled so that the largest is 100.

The 12 most intense peaks (15° ≤ 2θ ≤ 90°), by angle:
| d (Å) | two_theta | Rel. int. |
| --- | --- | --- |
| 4.943 | 17.95 | 100 |
| 3.313 | 26.91 | 25 |
| 2.963 | 30.16 | 54 |
| 2.752 | 32.54 | 89 |
| 2.542 | 35.31 | 99 |
| 2.471 | 36.35 | 29 |
| 2.095 | 43.17 | 19 |
| 1.898 | 47.93 | 50 |
| 1.607 | 57.33 | 24 |
| 1.528 | 60.58 | 39 |
| 1.489 | 62.35 | 20 |
| 1.347 | 69.81 | 28 |

Structural model:
Cell: 6.6263 6.6263 4.9427 Å, 90.00 90.00 90.00°
Element x y z (fractional)
Pa1 0.1854 0.3146 0.0000
Pa2 0.3146 0.8146 0.0000
Pa3 0.6854 0.1854 0.0000
Pa4 0.8146 0.6854 0.0000
Fe1 0.0000 0.0000 0.5000
Fe2 0.5000 0.5000 0.5000
C1 0.0000 0.5000 0.5000
C2 0.5000 0.0000 0.5000
N1 0.0000 0.0000 0.0000
N2 0.1202 0.6202 0.2760
N3 0.1202 0.6202 0.7240
N4 0.3798 0.1202 0.2760
N5 0.3798 0.1202 0.7240
N6 0.5000 0.5000 0.0000
N7 0.6202 0.8798 0.2760
N8 0.6202 0.8798 0.7240
N9 0.8798 0.3798 0.2760
N10 0.8798 0.3798 0.7240

=====

9.
For CsKSiAs2, a cell relaxed with PBE gives the calculated powder diffraction line list in this record (Cu Kα).
Intensities are scaled so that the largest is 100.

The 12 most intense peaks (15° ≤ 2θ ≤ 90°), by angle:
| d (Å) | two_theta | Rel. int. |
| --- | --- | --- |
| 4.365 | 20.34 | 54 |
| 3.851 | 23.10 | 100 |
| 3.781 | 23.53 | 18 |
| 3.060 | 29.18 | 52 |
| 2.888 | 30.96 | 92 |
| 2.605 | 34.42 | 29 |
| 2.408 | 37.34 | 22 |
| 2.237 | 40.31 | 30 |
| 2.183 | 41.36 | 30 |
| 1.945 | 46.69 | 18 |
| 1.776 | 51.45 | 21 |
| 1.742 | 52.54 | 18 |

Structural model:
Cell: 5.2110 7.5630 8.7302 Å, 90.00 90.00 90.00°
Element x y z (fractional)
Cs1 0.2500 0.0000 0.1897
Cs2 0.7500 0.0000 0.8103
K1 0.2500 0.5000 0.3744
K2 0.7500 0.5000 0.6256
Si1 0.0000 0.5000 0.0000
Si2 0.5000 0.5000 0.0000
As1 0.2500 0.3307 0.7807
As2 0.2500 0.6693 0.7807
As3 0.7500 0.3307 0.2193
As4 0.7500 0.6693 0.2193

=====

10.
For Th6Bi3P, a cell relaxed with PBE gives the calculated powder diffraction line list in this record (Cu Kα).
Intensities are scaled so that the largest is 100.

The 12 most intense peaks (15° ≤ 2θ ≤ 90°), by angle:
| d (Å) | two_theta | Rel. int. |
| --- | --- | --- |
| 3.444 | 25.87 | 81 |
| 3.324 | 26.82 | 31 |
| 3.199 | 27.89 | 61 |
| 3.175 | 28.10 | 100 |
| 3.008 | 29.70 | 82 |
| 2.990 | 29.88 | 91 |
| 2.823 | 31.69 | 77 |
| 2.720 | 32.93 | 46 |
| 2.675 | 33.50 | 37 |
| 2.616 | 34.29 | 83 |
| 2.128 | 42.49 | 52 |
| 1.800 | 50.73 | 32 |

Structural model:
Cell: 7.2372 8.4153 12.9129 Å, 90.00 124.05 90.00°
Element x y z (fractional)
Th1 0.0614 0.1934 0.4401
Th2 0.0614 0.3066 0.9401
Th3 0.2920 0.6546 0.4439
Th4 0.2920 0.8454 0.9439
Th5 0.4103 0.0296 0.2327
Th6 0.4103 0.4704 0.7327
Th7 0.5897 0.5296 0.2673
Th8 0.5897 0.9704 0.7673
Th9 0.7080 0.1546 0.0561
Th10 0.7080 0.3454 0.5561
Th11 0.9386 0.6934 0.0599
Th12 0.9386 0.8066 0.5599
Bi1 0.1656 0.1404 0.7431
Bi2 0.1656 0.3596 0.2431
Bi3 0.5000 0.0000 0.5000
Bi4 0.5000 0.5000 0.0000
Bi5 0.8344 0.6404 0.7569
Bi6 0.8344 0.8596 0.2569
P1 0.0000 0.0000 0.0000
P2 0.0000 0.5000 0.5000

=====

11.
For Pu2Co4Ge3, a cell relaxed with PBE gives the calculated powder diffraction line list in this record (Cu Kα).
Intensities are scaled so that the largest is 100.

The 12 most intense peaks (15° ≤ 2θ ≤ 90°), by angle:
| d (Å) | two_theta | Rel. int. |
| --- | --- | --- |
| 4.085 | 21.76 | 41 |
| 2.808 | 31.87 | 25 |
| 2.748 | 32.58 | 18 |
| 2.477 | 36.27 | 68 |
| 2.436 | 36.89 | 100 |
| 2.406 | 37.38 | 44 |
| 2.210 | 40.83 | 28 |
| 2.138 | 42.28 | 41 |
| 2.124 | 42.56 | 51 |
| 1.705 | 53.76 | 21 |
| 1.519 | 60.99 | 23 |
| 1.238 | 77.00 | 17 |

Structural model:
Cell: 7.9268 7.9268 6.6953 Å, 90.00 90.00 139.43°
Element x y z (fractional)
Pu1 0.1022 0.8978 0.9121
Pu2 0.3978 0.6022 0.4121
Pu3 0.6022 0.3978 0.5879
Pu4 0.8978 0.1022 0.0879
Co1 0.1714 0.8286 0.5156
Co2 0.1759 0.3241 0.7500
Co3 0.3241 0.1759 0.2500
Co4 0.3286 0.6714 0.0156
Co5 0.6714 0.3286 0.9844
Co6 0.6759 0.8241 0.7500
Co7 0.8241 0.6759 0.2500
Co8 0.8286 0.1714 0.4844
Ge1 0.0000 0.0000 0.5000
Ge2 0.0142 0.4858 0.7500
Ge3 0.4858 0.0142 0.2500
Ge4 0.5000 0.5000 0.0000
Ge5 0.5142 0.9858 0.7500
Ge6 0.9858 0.5142 0.2500

=====

12.
For CsNaTlO, a cell relaxed with PBE gives the calculated powder diffraction line list in this record (Cu Kα).
Intensities are scaled so that the largest is 100.

The 12 most intense peaks (15° ≤ 2θ ≤ 90°), by angle:
| d (Å) | two_theta | Rel. int. |
| --- | --- | --- |
| 5.716 | 15.50 | 22 |
| 5.071 | 17.49 | 58 |
| 3.161 | 28.23 | 78 |
| 3.067 | 29.12 | 57 |
| 2.954 | 30.26 | 100 |
| 2.829 | 31.63 | 36 |
| 2.247 | 40.14 | 16 |
| 2.079 | 43.52 | 39 |
| 1.831 | 49.79 | 36 |
| 1.759 | 51.98 | 15 |
| 1.656 | 55.48 | 18 |
| 1.575 | 58.60 | 21 |

Structural model:
Cell: 3.6343 5.6578 11.4327 Å, 90.00 90.00 90.00°
Element x y z (fractional)
Cs1 0.0000 0.0000 0.0000
Cs2 0.0000 0.5000 0.5000
Na1 0.0000 0.0000 0.3668
Na2 0.0000 0.5000 0.8668
Tl1 0.5000 0.0000 0.6825
Tl2 0.5000 0.5000 0.1825
O1 0.5000 0.0000 0.4892
O2 0.5000 0.5000 0.9892

=====

Question: Which formula does entry 7 have?
Answer: Tb2Nd4SmSc

=====

What did the first record say?
For UHgI3, a cell relaxed with PBE gives the calculated powder diffraction line list in this record (Cu Kα).
Intensities are scaled so that the largest is 100.

The 12 most intense peaks (15° ≤ 2θ ≤ 90°), by angle:
| d (Å) | two_theta | Rel. int. |
| --- | --- | --- |
| 4.228 | 21.01 | 38 |
| 3.661 | 24.31 | 76 |
| 3.473 | 25.65 | 42 |
| 2.884 | 31.01 | 100 |
| 2.683 | 33.39 | 32 |
| 2.266 | 39.79 | 31 |
| 2.114 | 42.78 | 43 |
| 2.076 | 43.61 | 39 |
| 1.806 | 50.55 | 14 |
| 1.736 | 52.72 | 18 |
| 1.481 | 62.74 | 27 |
| 1.442 | 64.64 | 25 |

Structural model:
Cell: 8.4557 8.4557 3.9442 Å, 90.00 90.00 120.00°
Element x y z (fractional)
U1 0.0000 0.0000 0.0000
Hg1 0.3333 0.6667 0.0000
I1 0.3268 0.1753 0.5000
I2 0.8247 0.1515 0.5000
I3 0.8485 0.6732 0.5000